Starting from DFT lattice parameters and positions (PBE), the X-ray diffraction stick pattern of LiEuTmSi was simulated for Cu Ka.
Peak positions follow from Bragg's law for the DFT cell and can differ from measured ones.

Atomic structure:
```
LiEuTmSi
1.0
0.000 3.581 3.581
3.581 0.000 3.581
3.581 3.581 0.000
Li Eu Tm Si
1 1 1 1
Direct
0.000 0.000 0.000
0.750 0.750 0.750
0.250 0.250 0.250
0.500 0.500 0.500
```

Most intense lines, 2θ from 15° to 90°, in order of falling intensity:
- 2θ = 35.4°, intensity 100.0
- 2θ = 24.9°, intensity 80.4
- 2θ = 63.6°, intensity 36.4
- 2θ = 57.5°, intensity 32.7
- 2θ = 43.8°, intensity 24.4
- 2θ = 51.0°, intensity 17.7
- 2θ = 85.8°, intensity 16.4
- 2θ = 80.4°, intensity 15.8
- 2θ = 75.0°, intensity 11.4
- 2θ = 21.5°, intensity 1.7